Record 1
The following is a calculated X-ray diffraction stick pattern of Pm3Nd12Pu. It was derived from a DFT-relaxed cell (GGA-PBE, Alexandria), using Cu Kα.

The 10 most intense peaks (2θ from 10° to 90°), sorted by position:
2θ 29.9, I 100.0, (1 1 4)
2θ 34.7, I 50.7, (2 0 0)
2θ 49.8, I 36.2, (2 2 0)
2θ 59.2, I 29.1, (3 1 4)
2θ 59.3, I 14.0, (1 1 12)
2θ 62.1, I 12.4, (2 2 8)
2θ 80.9, I 5.9, (3 3 4)
2θ 81.0, I 11.5, (3 1 12)
2θ 83.5, I 11.0, (4 2 0)
2θ 83.7, I 5.2, (2 0 16)

Atomic structure:
Cell: 5.1792 5.1792 20.6660 Å, 90.00 90.00 90.00°
Space group P4/mmm (No. 123)
Symmetry-distinct sites (fractional):
Pm (0.0000, 0.0000, 0.0000) (multiplicity 1)
Pm (0.0000, 0.0000, 0.2519) (multiplicity 2)
Nd (0.0000, 0.5000, 0.1263) (multiplicity 4)
Nd (0.0000, 0.5000, 0.3793) (multiplicity 4)
Nd (0.5000, 0.5000, 0.0000) (multiplicity 1)
Nd (0.5000, 0.5000, 0.2520) (multiplicity 2)
Nd (0.5000, 0.5000, 0.5000) (multiplicity 1)
Pu (0.0000, 0.0000, 0.5000) (multiplicity 1)

***

Record 2
The following is a calculated X-ray diffraction stick pattern of Pm3Nd8Pu. It was derived from a DFT-relaxed cell (GGA-PBE, Alexandria), using Cu Kα.

The 10 most intense peaks (2θ from 10° to 90°), sorted by position:
2θ 14.2, I 36.3, (1 1 0)
2θ 20.9, I 34.3, (1 1 2)
2θ 23.8, I 46.8, (2 1 1)
2θ 28.6, I 73.1, (2 2 0)
2θ 30.8, I 58.0, (0 0 4)
2θ 35.7, I 100.0, (3 1 2)
2θ 42.5, I 44.6, (2 2 4)
2θ 43.9, I 41.6, (4 0 2)
2θ 55.4, I 31.2, (5 1 2)
2θ 58.0, I 30.8, (3 1 6)

Atomic structure:
Cell: 8.8183 8.8183 11.6147 Å, 90.00 90.00 90.00°
Space group I-42m (No. 121)
Symmetry-distinct sites (fractional):
Pm (0.0000, 0.0000, 0.0000) (multiplicity 2)
Pm (0.0000, 0.5000, 0.2500) (multiplicity 4)
Nd (0.1242, 0.1242, 0.2632) (multiplicity 8)
Nd (0.2352, 0.2352, 0.5229) (multiplicity 8)
Pu (0.0000, 0.0000, 0.5000) (multiplicity 2)

***

Record 3
The following is a calculated X-ray diffraction stick pattern of RbPmNd4Se8. It was derived from a DFT-relaxed cell (GGA-PBE, Alexandria), using Cu Kα.

The 10 most intense peaks (2θ from 10° to 90°), sorted by position:
2θ 12.2, I 33.3, (1 0 1)
2θ 20.0, I 25.6, (1 1 0)
2θ 23.5, I 100.0, (0 1 5)
2θ 28.4, I 77.4, (0 2 4)
2θ 37.2, I 67.2, (1 2 5)
2θ 40.6, I 61.6, (2 2 0)
2θ 40.7, I 61.5, (2 0 8)
2θ 56.2, I 16.1, (4 1 3)
2θ 58.8, I 18.4, (0 4 8)
2θ 73.8, I 25.8, (4 2 8)

Atomic structure:
Cell: 8.8973 8.8973 21.7035 Å, 90.00 90.00 120.00°
Space group R3m (No. 160, hexagonal axes)
Symmetry-distinct sites (fractional):
Rb (0.0000, 0.0000, 0.0000) (multiplicity 3)
Pm (0.0000, 0.0000, 0.6286) (multiplicity 3)
Nd (0.0000, 0.0000, 0.2490) (multiplicity 3)
Nd (0.1724, 0.3448, 0.4562) (multiplicity 9)
Se (0.0000, 0.0000, 0.3816) (multiplicity 3)
Se (0.0000, 0.0000, 0.8575) (multiplicity 3)
Se (0.0465, 0.5232, 0.3793) (multiplicity 9)
Se (0.1770, 0.3539, 0.2055) (multiplicity 9)

***

Record 4
The following is a calculated X-ray diffraction stick pattern of PmNd4Rh. It was derived from a DFT-relaxed cell (GGA-PBE, Alexandria), using Cu Kα.

The 10 most intense peaks (2θ from 10° to 90°), sorted by position:
2θ 25.7, I 16.2, (2 2 0)
2θ 28.1, I 16.4, (2 2 -1)
2θ 29.4, I 37.3, (2 0 -2)
2θ 30.8, I 66.1, (4 0 1)
2θ 32.1, I 100.0, (2 2 1)
2θ 39.4, I 35.9, (0 2 2)
2θ 47.6, I 15.2, (0 4 0)
2θ 53.0, I 16.8, (2 0 3)
2θ 53.9, I 19.1, (0 2 3)
2θ 59.2, I 27.1, (6 2 2)

Atomic structure:
Cell: 17.6302 7.6450 6.0720 Å, 90.00 110.09 90.00°
Space group C2/m (No. 12)
Symmetry-distinct sites (fractional):
Pm (0.1984, 0.0000, 0.1986) (multiplicity 4)
Nd (0.0000, 0.2053, 0.0000) (multiplicity 4)
Nd (0.1165, 0.2482, 0.6165) (multiplicity 8)
Nd (0.1716, 0.5000, 0.1715) (multiplicity 4)
Rh (0.0000, 0.5000, 0.2697) (multiplicity 4)

***

Copy entry 4 word for word.
The following is a calculated X-ray diffraction stick pattern of PmNd4Rh. It was derived from a DFT-relaxed cell (GGA-PBE, Alexandria), using Cu Kα.

The 10 most intense peaks (2θ from 10° to 90°), sorted by position:
2θ 25.7, I 16.2, (2 2 0)
2θ 28.1, I 16.4, (2 2 -1)
2θ 29.4, I 37.3, (2 0 -2)
2θ 30.8, I 66.1, (4 0 1)
2θ 32.1, I 100.0, (2 2 1)
2θ 39.4, I 35.9, (0 2 2)
2θ 47.6, I 15.2, (0 4 0)
2θ 53.0, I 16.8, (2 0 3)
2θ 53.9, I 19.1, (0 2 3)
2θ 59.2, I 27.1, (6 2 2)

Atomic structure:
Cell: 17.6302 7.6450 6.0720 Å, 90.00 110.09 90.00°
Space group C2/m (No. 12)
Symmetry-distinct sites (fractional):
Pm (0.1984, 0.0000, 0.1986) (multiplicity 4)
Nd (0.0000, 0.2053, 0.0000) (multiplicity 4)
Nd (0.1165, 0.2482, 0.6165) (multiplicity 8)
Nd (0.1716, 0.5000, 0.1715) (multiplicity 4)
Rh (0.0000, 0.5000, 0.2697) (multiplicity 4)